The following is a simulated powder XRD pattern of Lu2AlTc. It was derived from a crystal structure in OQMD, relaxed with GGA-PBE, using Cu Ka.

Largest 10 diffraction maxima, low angle first, 10 to 90 degrees two-theta:
2θ = 22.70°, intensity 28
2θ = 26.27°, intensity 3
2θ = 37.49°, intensity 100
2θ = 44.28°, intensity 15
2θ = 54.07°, intensity 17
2θ = 59.38°, intensity 6
2θ = 67.65°, intensity 35
2θ = 72.37°, intensity 5
2θ = 80.00°, intensity 11
2θ = 84.48°, intensity 5

```
4
Lattice="0.0000 3.3923 3.3923 3.3923 0.0000 3.3923 3.3923 3.3923 0.0000" Properties=species:S:1:pos:R:3 pbc="T T T"
Lu 0.0000 0.0000 0.0000
Lu 1.6962 1.6962 1.6962
Al 3.3923 3.3923 3.3923
Tc 5.0885 5.0885 5.0885
```